No. 1
Theoretical powder diffraction line list of PNCl2 for Cu Kα (weighted mean of Kα1 and Kα2), from a crystal structure in Alexandria, relaxed with PBE.
Intensities are scaled so that the largest is 100.

Structural model:
```
data_PNCl2
_chemical_formula_sum 'P8 N8 Cl16'
_cell_length_a 11.719
_cell_length_b 11.719
_cell_length_c 6.438
_cell_angle_alpha 90.00
_cell_angle_beta 90.00
_cell_angle_gamma 90.00
_space_group_name_H-M_alt 'P 1'
_space_group_IT_number 1
_space_group_name_Hall 'P 1'
loop_
_atom_site_label
_atom_site_type_symbol
_atom_site_fract_x
_atom_site_fract_y
_atom_site_fract_z
P1 P 0.084 0.290 0.203
P2 P 0.210 0.084 0.297
P3 P 0.290 0.416 0.297
P4 P 0.416 0.210 0.203
P5 P 0.584 0.790 0.797
P6 P 0.710 0.584 0.703
P7 P 0.790 0.916 0.703
P8 P 0.916 0.710 0.797
N1 N 0.121 0.161 0.178
N2 N 0.161 0.379 0.322
N3 N 0.339 0.121 0.322
N4 N 0.379 0.339 0.178
N5 N 0.621 0.661 0.822
N6 N 0.661 0.879 0.678
N7 N 0.839 0.621 0.678
N8 N 0.879 0.839 0.822
Cl1 Cl 0.046 0.344 0.913
Cl2 Cl 0.069 0.703 0.653
Cl3 Cl 0.156 0.046 0.587
Cl4 Cl 0.203 0.931 0.153
Cl5 Cl 0.297 0.569 0.153
Cl6 Cl 0.344 0.454 0.587
Cl7 Cl 0.431 0.797 0.653
Cl8 Cl 0.454 0.156 0.913
Cl9 Cl 0.546 0.844 0.087
Cl10 Cl 0.569 0.203 0.347
Cl11 Cl 0.656 0.546 0.413
Cl12 Cl 0.703 0.431 0.847
Cl13 Cl 0.797 0.069 0.847
Cl14 Cl 0.844 0.954 0.413
Cl15 Cl 0.931 0.297 0.347
Cl16 Cl 0.954 0.656 0.087
```

Largest 12 diffraction maxima, most intense first, 2θ from 10° to 80°:
2θ (°)  I (rel.)
15.70  100.0
24.01  84.3
21.45  52.6
27.77  49.9
10.68  44.5
32.64  21.8
28.76  17.3
25.57  16.7
49.37  16.3
26.69  15.7
49.05  15.6
30.82  11.5



No. 2
Theoretical powder diffraction line list of Sr6P2NCl2 for Cu Kα (weighted mean of Kα1 and Kα2), from a crystal structure in Alexandria, relaxed with PBE.
Intensities are scaled so that the largest is 100.

Structural model:
```
data_Sr6P2NCl2
_chemical_formula_sum 'Sr6 P2 N1 Cl2'
_cell_length_a 7.414
_cell_length_b 7.414
_cell_length_c 7.527
_cell_angle_alpha 99.63
_cell_angle_beta 99.63
_cell_angle_gamma 119.74
_space_group_name_H-M_alt 'P 1'
_space_group_IT_number 1
_space_group_name_Hall 'P 1'
loop_
_atom_site_label
_atom_site_type_symbol
_atom_site_fract_x
_atom_site_fract_y
_atom_site_fract_z
Sr1 Sr 0.070 0.376 0.210
Sr2 Sr 0.232 0.232 0.797
Sr3 Sr 0.376 0.070 0.210
Sr4 Sr 0.624 0.930 0.790
Sr5 Sr 0.768 0.768 0.203
Sr6 Sr 0.930 0.624 0.790
P1 P 0.333 0.667 0.000
P2 P 0.667 0.333 0.000
N1 N 0.000 0.000 0.000
Cl1 Cl 0.163 0.837 0.500
Cl2 Cl 0.837 0.163 0.500
```

Largest 12 diffraction maxima, most intense first, 2θ from 10° to 80°:
2θ (°)  I (rel.)
29.39  100.0
25.41  65.5
29.23  48.4
41.76  39.3
42.11  34.6
12.47  20.0
42.29  17.7
25.10  17.0
52.23  15.2
31.99  14.0
38.04  12.5
53.39  12.5



No. 3
Theoretical powder diffraction line list of TaPNCl7 for Cu Kα (weighted mean of Kα1 and Kα2), from a crystal structure in Alexandria, relaxed with PBE.
Intensities are scaled so that the largest is 100.

Structural model:
```
data_TaPNCl7
_chemical_formula_sum 'Ta4 P4 N4 Cl28'
_cell_length_a 7.018
_cell_length_b 11.796
_cell_length_c 15.871
_cell_angle_alpha 90.00
_cell_angle_beta 105.82
_cell_angle_gamma 90.00
_space_group_name_H-M_alt 'P 1'
_space_group_IT_number 1
_space_group_name_Hall 'P 1'
loop_
_atom_site_label
_atom_site_type_symbol
_atom_site_fract_x
_atom_site_fract_y
_atom_site_fract_z
Ta1 Ta 0.027 0.074 0.120
Ta2 Ta 0.027 0.426 0.620
Ta3 Ta 0.973 0.574 0.380
Ta4 Ta 0.973 0.926 0.880
P1 P 0.373 0.067 0.316
P2 P 0.373 0.433 0.816
P3 P 0.627 0.567 0.184
P4 P 0.627 0.933 0.684
N1 N 0.230 0.092 0.224
N2 N 0.230 0.408 0.724
N3 N 0.770 0.592 0.276
N4 N 0.770 0.908 0.776
Cl1 Cl 0.083 0.102 0.844
Cl2 Cl 0.083 0.398 0.344
Cl3 Cl 0.093 0.239 0.049
Cl4 Cl 0.093 0.261 0.549
Cl5 Cl 0.233 0.012 0.402
Cl6 Cl 0.233 0.488 0.902
Cl7 Cl 0.234 0.530 0.541
Cl8 Cl 0.234 0.970 0.041
Cl9 Cl 0.238 0.664 0.347
Cl10 Cl 0.238 0.836 0.847
Cl11 Cl 0.425 0.051 0.686
Cl12 Cl 0.425 0.449 0.186
Cl13 Cl 0.472 0.702 0.129
Cl14 Cl 0.472 0.798 0.629
Cl15 Cl 0.528 0.202 0.371
Cl16 Cl 0.528 0.298 0.871
Cl17 Cl 0.575 0.551 0.814
Cl18 Cl 0.575 0.949 0.314
Cl19 Cl 0.762 0.164 0.153
Cl20 Cl 0.762 0.336 0.653
Cl21 Cl 0.766 0.030 0.959
Cl22 Cl 0.766 0.470 0.459
Cl23 Cl 0.767 0.512 0.098
Cl24 Cl 0.767 0.988 0.598
Cl25 Cl 0.907 0.739 0.451
Cl26 Cl 0.907 0.761 0.951
Cl27 Cl 0.917 0.602 0.656
Cl28 Cl 0.917 0.898 0.156
```

Largest 12 diffraction maxima, most intense first, 2θ from 10° to 80°:
2θ (°)  I (rel.)
14.85  100.0
13.11  39.8
25.76  39.7
15.02  34.7
16.11  34.0
23.30  29.7
17.44  26.7
16.75  25.0
41.32  20.8
31.42  19.0
27.22  17.4
20.22  17.3



No. 4
Theoretical powder diffraction line list of Zn3P6N12Cl for Cu Kα (weighted mean of Kα1 and Kα2), from a crystal structure in Alexandria, relaxed with PBE.
Intensities are scaled so that the largest is 100.

Structural model:
```
data_Zn3P6N12Cl
_chemical_formula_sum 'Zn3 P6 N12 Cl1'
_cell_length_a 7.186
_cell_length_b 7.186
_cell_length_c 7.186
_cell_angle_alpha 109.36
_cell_angle_beta 109.36
_cell_angle_gamma 109.36
_space_group_name_H-M_alt 'P 1'
_space_group_IT_number 1
_space_group_name_Hall 'P 1'
loop_
_atom_site_label
_atom_site_type_symbol
_atom_site_fract_x
_atom_site_fract_y
_atom_site_fract_z
Zn1 Zn 0.213 0.213 0.574
Zn2 Zn 0.213 0.574 0.213
Zn3 Zn 0.574 0.213 0.213
P1 P 0.465 0.710 0.960
P2 P 0.465 0.960 0.710
P3 P 0.710 0.465 0.960
P4 P 0.710 0.960 0.465
P5 P 0.960 0.465 0.710
P6 P 0.960 0.710 0.465
N1 N 0.211 0.486 0.767
N2 N 0.211 0.767 0.486
N3 N 0.486 0.211 0.767
N4 N 0.486 0.767 0.211
N5 N 0.487 0.937 0.937
N6 N 0.652 0.652 0.929
N7 N 0.652 0.929 0.652
N8 N 0.767 0.211 0.486
N9 N 0.767 0.486 0.211
N10 N 0.929 0.652 0.652
N11 N 0.937 0.487 0.937
N12 N 0.937 0.937 0.487
Cl1 Cl 0.256 0.256 0.256
```

Largest 12 diffraction maxima, most intense first, 2θ from 10° to 80°:
2θ (°)  I (rel.)
26.30  100.0
15.09  45.2
40.67  41.4
46.41  32.8
26.19  27.5
34.12  26.7
46.27  18.5
37.55  12.0
69.84  11.6
37.34  11.0
49.11  9.8
65.63  8.8



No. 5
Theoretical powder diffraction line list of ZrP2NCl11 for Cu Kα (weighted mean of Kα1 and Kα2), from a crystal structure in Alexandria, relaxed with PBE.
Intensities are scaled so that the largest is 100.

Structural model:
```
data_ZrP2NCl11
_chemical_formula_sum 'Zr4 P8 N4 Cl44'
_cell_length_a 11.020
_cell_length_b 11.020
_cell_length_c 16.783
_cell_angle_alpha 90.00
_cell_angle_beta 90.00
_cell_angle_gamma 69.79
_space_group_name_H-M_alt 'P 1'
_space_group_IT_number 1
_space_group_name_Hall 'P 1'
loop_
_atom_site_label
_atom_site_type_symbol
_atom_site_fract_x
_atom_site_fract_y
_atom_site_fract_z
Zr1 Zr 0.144 0.856 0.940
Zr2 Zr 0.356 0.644 0.440
Zr3 Zr 0.644 0.356 0.560
Zr4 Zr 0.856 0.144 0.060
P1 P 0.182 0.216 0.681
P2 P 0.216 0.182 0.319
P3 P 0.284 0.318 0.819
P4 P 0.318 0.284 0.181
P5 P 0.682 0.716 0.819
P6 P 0.716 0.682 0.181
P7 P 0.784 0.818 0.681
P8 P 0.818 0.784 0.319
N1 N 0.224 0.276 0.250
N2 N 0.276 0.224 0.750
N3 N 0.724 0.776 0.250
N4 N 0.776 0.724 0.750
Cl1 Cl 0.005 0.234 0.718
Cl2 Cl 0.009 0.720 0.945
Cl3 Cl 0.046 0.253 0.371
Cl4 Cl 0.063 0.937 0.086
Cl5 Cl 0.152 0.339 0.903
Cl6 Cl 0.161 0.348 0.597
Cl7 Cl 0.170 0.830 0.797
Cl8 Cl 0.176 0.824 0.491
Cl9 Cl 0.220 0.509 0.445
Cl10 Cl 0.234 0.005 0.282
Cl11 Cl 0.247 0.454 0.129
Cl12 Cl 0.253 0.046 0.629
Cl13 Cl 0.266 0.495 0.782
Cl14 Cl 0.280 0.991 0.945
Cl15 Cl 0.324 0.676 0.991
Cl16 Cl 0.330 0.670 0.297
Cl17 Cl 0.339 0.152 0.097
Cl18 Cl 0.348 0.161 0.403
Cl19 Cl 0.437 0.563 0.586
Cl20 Cl 0.454 0.247 0.871
Cl21 Cl 0.491 0.780 0.445
Cl22 Cl 0.495 0.266 0.218
Cl23 Cl 0.505 0.734 0.782
Cl24 Cl 0.509 0.220 0.555
Cl25 Cl 0.546 0.753 0.129
Cl26 Cl 0.563 0.437 0.414
Cl27 Cl 0.652 0.839 0.597
Cl28 Cl 0.661 0.848 0.903
Cl29 Cl 0.670 0.330 0.703
Cl30 Cl 0.676 0.324 0.009
Cl31 Cl 0.720 0.009 0.055
Cl32 Cl 0.734 0.505 0.218
Cl33 Cl 0.747 0.954 0.371
Cl34 Cl 0.753 0.546 0.871
Cl35 Cl 0.766 0.995 0.718
Cl36 Cl 0.780 0.491 0.555
Cl37 Cl 0.824 0.176 0.509
Cl38 Cl 0.830 0.170 0.203
Cl39 Cl 0.839 0.652 0.403
Cl40 Cl 0.848 0.661 0.097
Cl41 Cl 0.937 0.063 0.914
Cl42 Cl 0.954 0.747 0.629
Cl43 Cl 0.991 0.280 0.055
Cl44 Cl 0.995 0.766 0.282
```

Largest 12 diffraction maxima, most intense first, 2θ from 10° to 80°:
2θ (°)  I (rel.)
17.15  100.0
10.05  61.4
22.82  56.9
29.08  51.3
17.99  50.4
13.59  45.6
14.40  42.6
33.17  38.0
28.31  31.4
22.35  30.4
23.40  30.2
21.23  27.7